Tl2CrC2O6: calculated X-ray diffraction stick pattern (Cu Ka), based on the GGA+U geometry in Alexandria.

```
Tl2CrC2O6
1.0
5.6858 -2.5684 0.0000
5.6858 2.5684 0.0000
-3.1279 0.0000 6.1271
Tl Cr C O
2 1 2 6
Direct
0.1916 0.1916 0.1956 Tl
0.8084 0.8084 0.8044 Tl
0.0000 0.0000 0.5000 Cr
0.4911 0.4911 0.7067 C
0.5089 0.5089 0.2933 C
0.2237 0.6599 0.2639 O
0.3401 0.7763 0.7361 O
0.3684 0.3684 0.6551 O
0.6316 0.6316 0.3449 O
0.6599 0.2237 0.2639 O
0.7763 0.3401 0.7361 O
```

The 6 most intense peaks (10° ≤ 2θ ≤ 90°), in order of falling intensity:
2θ (°)  d [Å]  I/Imax
21.7  4.095  100
29.4  3.039  52
26.6  3.353  52
31.7  2.825  49
27.5  3.245  38
31.5  2.840  37